Simulated X-ray powder pattern of KRb2NbCl for Cu Kα (weighted mean of Kα1 and Kα2), from the GGA-PBE geometry in Alexandria.
Intensities are scaled so that the largest is 100.

Most intense lines, 2θ from 15° to 90°, sorted by position:
d [Å]	I (rel.)	(hkl)
3.512	100.0	1 1 1
3.463	78.2	2 0 0
2.519	16.1	0 0 2
2.449	29.5	2 2 0
2.037	33.4	2 0 2
2.009	41.0	3 1 1
1.756	20.6	2 2 2
1.319	15.5	4 2 2

Cell and atoms:
Cell: 6.926 6.926 5.038 Å, 90.00 90.00 90.00°
Space group P4/mmm (No. 123)
One atom of each set of equivalent atoms:
K 0.000 0.000 0.000 x1
Rb 0.000 0.500 0.500 x2
Nb 0.500 0.500 0.000 x1
Cl 0.500 0.500 0.500 x1